[1]
LiPr4Se7: theoretical powder XRD pattern (Cu Ka), based on the PBE geometry in Alexandria.
Peak positions follow from Bragg's law for the DFT cell and can differ from measured ones.

Most intense lines, 10° ≤ 2θ ≤ 90°, low angle first:
| 2θ/deg | I (rel.) |
| --- | --- |
| 22.73 | 33 |
| 29.09 | 31 |
| 29.46 | 100 |
| 30.08 | 28 |
| 30.72 | 53 |
| 31.78 | 46 |
| 34.11 | 33 |
| 39.70 | 40 |
| 43.46 | 51 |
| 44.54 | 30 |

Cell and atoms:
Lattice parameters (Å, degrees): 7.1795 7.1795 12.0922 104.33 104.33 33.70
Positions (direct):
Li 0.0000 0.0000 0.0000
Pr 0.1347 0.1347 0.4185
Pr 0.2326 0.2326 0.8746
Pr 0.4387 0.4387 0.6474
Pr 0.8268 0.8268 0.2306
Se 0.0897 0.0897 0.6437
Se 0.1654 0.1654 0.1923
Se 0.3977 0.3977 0.0845
Se 0.4722 0.4722 0.3829
Se 0.5923 0.5923 0.9065
Se 0.7937 0.7937 0.4850
Se 0.8556 0.8556 0.7889


[2]
LiAl3Cu4: theoretical powder XRD pattern (Cu Ka), based on the PBE geometry in Alexandria.
Peak positions follow from Bragg's law for the DFT cell and can differ from measured ones.

Most intense lines, 10° ≤ 2θ ≤ 90°, low angle first:
| 2θ/deg | I (rel.) |
| --- | --- |
| 29.78 | 40 |
| 30.96 | 18 |
| 42.62 | 53 |
| 43.49 | 100 |
| 53.60 | 14 |
| 61.85 | 16 |
| 64.52 | 7 |
| 70.14 | 6 |
| 78.63 | 31 |
| 80.44 | 15 |

Cell and atoms:
Lattice parameters (Å, degrees): 8.4856 5.7774 4.2425 90.00 90.00 90.00
Positions (direct):
Li 0.0000 0.0000 0.0000
Li 0.5000 0.0000 0.0000
Al 0.0000 0.5000 0.0000
Al 0.2500 0.0000 0.4933
Al 0.2500 0.5000 0.4932
Al 0.5000 0.5000 0.0000
Al 0.7500 0.0000 0.5067
Al 0.7500 0.5000 0.5068
Cu 0.0000 0.2484 0.5000
Cu 0.0000 0.7516 0.5000
Cu 0.2500 0.2483 0.9924
Cu 0.2500 0.7517 0.9924
Cu 0.5000 0.2484 0.5000
Cu 0.5000 0.7516 0.5000
Cu 0.7500 0.2483 0.0076
Cu 0.7500 0.7517 0.0076


[3]
PuZr2ReC4: theoretical powder XRD pattern (Cu Ka), based on the PBE geometry in Alexandria.
Peak positions follow from Bragg's law for the DFT cell and can differ from measured ones.

Most intense lines, 10° ≤ 2θ ≤ 90°, low angle first:
| 2θ/deg | I (rel.) |
| --- | --- |
| 15.23 | 61 |
| 30.56 | 43 |
| 30.75 | 53 |
| 31.54 | 24 |
| 31.86 | 100 |
| 36.28 | 34 |
| 38.75 | 68 |
| 43.90 | 27 |
| 50.12 | 24 |
| 62.68 | 17 |

Cell and atoms:
Lattice parameters (Å, degrees): 6.0837 6.0837 11.6321 90.00 90.00 148.18
Positions (direct):
Pu 0.1022 0.8978 0.7500
Pu 0.8978 0.1022 0.2500
Zr 0.3699 0.6301 0.5383
Zr 0.3699 0.6301 0.9617
Zr 0.6301 0.3699 0.0383
Zr 0.6301 0.3699 0.4617
Re 0.1597 0.8403 0.2500
Re 0.8403 0.1597 0.7500
C 0.0000 0.0000 0.0000
C 0.0000 0.0000 0.5000
C 0.2632 0.7368 0.1208
C 0.2632 0.7368 0.3792
C 0.4384 0.5616 0.7500
C 0.5616 0.4384 0.2500
C 0.7368 0.2632 0.6208
C 0.7368 0.2632 0.8792


[4]
Dy3Zn2Pd6: theoretical powder XRD pattern (Cu Ka), based on the PBE geometry in Alexandria.
Peak positions follow from Bragg's law for the DFT cell and can differ from measured ones.

Most intense lines, 10° ≤ 2θ ≤ 90°, low angle first:
| 2θ/deg | I (rel.) |
| --- | --- |
| 13.20 | 15 |
| 29.78 | 22 |
| 32.69 | 14 |
| 35.40 | 21 |
| 37.93 | 13 |
| 40.33 | 100 |
| 58.35 | 11 |
| 60.11 | 13 |
| 73.32 | 30 |
| 87.16 | 11 |

Cell and atoms:
Lattice parameters (Å, degrees): 8.2174 8.2174 8.2174 109.47 109.47 109.47
Positions (direct):
Dy 0.0000 0.3009 0.3009
Dy 0.0000 0.6991 0.6991
Dy 0.3009 0.0000 0.3009
Dy 0.3009 0.3009 0.0000
Dy 0.6991 0.0000 0.6991
Dy 0.6991 0.6991 0.0000
Zn 0.0000 0.0000 0.5000
Zn 0.0000 0.5000 0.0000
Zn 0.5000 0.0000 0.0000
Zn 0.5000 0.5000 0.5000
Pd 0.0000 0.3343 0.6657
Pd 0.0000 0.6657 0.3343
Pd 0.3313 0.6657 0.6657
Pd 0.3343 0.0000 0.6657
Pd 0.3343 0.3343 0.6687
Pd 0.3343 0.6657 0.0000
Pd 0.3343 0.6687 0.3343
Pd 0.6657 0.0000 0.3343
Pd 0.6657 0.3313 0.6657
Pd 0.6657 0.3343 0.0000
Pd 0.6657 0.6657 0.3313
Pd 0.6687 0.3343 0.3343